This entry pairs a crystal structure of Ac6InSn2 with its computed X-ray diffraction stick pattern. Radiation: Cu Kα X-rays. Structure: DFT lattice parameters and positions (PBE).
Kinematic intensities with the Lorentz-polarization factor, no thermal factor.

Top 10 peaks for 10° ≤ 2θ ≤ 80°, by angle:
| h k l | Position (°2θ) | intensity |
| --- | --- | --- |
| 2 0 2 | 22.33 | 18 |
| 0 1 3 | 24.58 | 19 |
| 2 2 2 | 27.55 | 100 |
| 2 1 3 | 29.49 | 55 |
| 1 3 2 | 29.80 | 47 |
| 2 3 1 | 30.07 | 74 |
| 4 0 0 | 32.43 | 43 |
| 0 2 4 | 35.16 | 25 |
| 2 0 6 | 50.41 | 18 |
| 5 3 2 | 50.66 | 24 |

Atomic structure:
abc: 11.0435 11.1223 11.4942
angles: 90.00 90.00 90.00
Space group Immm (No. 71)
Asymmetric unit:
1 Ac 0.0000 0.1981 0.2456
2 Ac 0.2144 0.5000 0.3297
3 Ac 0.2340 0.3233 0.0000
4 In 0.0000 0.0000 0.0000
5 In 0.0000 0.0000 0.5000
6 Sn 0.0000 0.3567 0.5000
7 Sn 0.0000 0.5000 0.1250